SrLi2Ca2: simulated powder diffraction line list (CuKα), based on a PBE-relaxed structure.

Most intense lines, 2θ = 10–80°, in order of rising 2θ:
2θ = 13.48°, I = 59, hkl 1 1 0
2θ = 21.38°, I = 44, hkl 2 1 0
2θ = 25.21°, I = 97, hkl 1 1 1
2θ = 27.14°, I = 38, hkl 2 2 0
2θ = 28.69°, I = 95, hkl 2 0 1
2θ = 30.30°, I = 55, hkl 2 1 1
2θ = 30.42°, I = 100, hkl 3 1 0
2θ = 43.56°, I = 24, hkl 4 2 0
2θ = 44.60°, I = 30, hkl 4 0 1
2θ = 46.81°, I = 41, hkl 3 3 1
2θ = 53.75°, I = 38, hkl 3 1 2
2θ = 54.95°, I = 22, hkl 5 1 1

Crystal structure
```
data_SrLi2Ca2
_cell_length_a 9.2921
_cell_length_b 9.2921
_cell_length_c 4.1888
_cell_angle_alpha 90.00
_cell_angle_beta 90.00
_cell_angle_gamma 90.00
_symmetry_space_group_name_H-M 'P 4/m b m'
_symmetry_Int_Tables_number 127
_symmetry_space_group_name_Hall '-P 4 2ab'
loop_
_atom_site_label
_atom_site_type_symbol
_atom_site_fract_x
_atom_site_fract_y
_atom_site_fract_z
_atom_site_occupancy
Sr1 Sr 0.0000 0.0000 0.0000 1
Li1 Li 0.1278 0.3722 0.0000 1
Ca1 Ca 0.1606 0.6606 0.5000 1
```


RbNa12Hg5: simulated powder diffraction line list (CuKα), based on a PBE-relaxed structure.

Most intense lines, 2θ = 10–80°, in order of rising 2θ:
2θ = 11.16°, I = 27, hkl 0 1 1
2θ = 12.64°, I = 45, hkl 1 1 0
2θ = 14.35°, I = 60, hkl 0 0 2
2θ = 17.15°, I = 100, hkl 0 2 0
2θ = 22.44°, I = 34, hkl 0 2 2
2θ = 23.27°, I = 44, hkl 0 1 3
2θ = 29.30°, I = 40, hkl 1 2 3
2θ = 32.89°, I = 60, hkl 3 1 2
2θ = 33.92°, I = 64, hkl 3 2 1
2θ = 33.93°, I = 27, hkl 0 3 3
2θ = 34.70°, I = 34, hkl 0 4 0
2θ = 41.75°, I = 47, hkl 3 1 4

Crystal structure
```
data_RbNa12Hg5
_cell_length_a 9.5234
_cell_length_b 10.3389
_cell_length_c 12.3427
_cell_angle_alpha 90.00
_cell_angle_beta 90.00
_cell_angle_gamma 90.00
_symmetry_space_group_name_H-M 'I m m m'
_symmetry_Int_Tables_number 71
_symmetry_space_group_name_Hall '-I 2 2'
loop_
_atom_site_label
_atom_site_type_symbol
_atom_site_fract_x
_atom_site_fract_y
_atom_site_fract_z
_atom_site_occupancy
Rb1 Rb 0.0000 0.0000 0.0000 1
Na1 Na 0.0000 0.3102 0.1870 1
Na2 Na 0.1773 0.2681 0.5000 1
Na3 Na 0.1968 0.0000 0.2742 1
Hg1 Hg 0.0000 0.0000 0.5000 1
Hg2 Hg 0.0000 0.5000 0.3800 1
Hg3 Hg 0.1542 0.5000 0.0000 1
```